Theoretical powder X-ray diffraction pattern of Be2P3NO10 for λ = 1.5418 Å (Cu Kα), from a DFT-relaxed cell (GGA-PBE, the Materials Project).
No peak broadening, texture or thermal motion is included.

Principal peaks in the range 2θ from 10° to 90°, in order of rising 2θ:
two_theta	d [Å]	I_rel	hkl
14.33	6.181	100	1 1 -1
15.98	5.545	18	2 0 0
19.23	4.616	31	1 1 1
22.03	4.034	58	0 0 2
23.62	3.767	23	3 1 -1
25.10	3.548	30	2 2 -1
26.17	3.405	29	3 1 0
28.89	3.090	28	2 2 -2
30.13	2.966	16	0 2 2
43.95	2.060	18	3 3 -3

```
data_Be2P3NO10
_chemical_formula_sum 'Be8 P12 N4 O40'
_cell_length_a 12.5243
_cell_length_b 8.7413
_cell_length_c 9.1198
_cell_angle_alpha 90.00
_cell_angle_beta 117.68
_cell_angle_gamma 90.00
_space_group_name_H-M_alt 'C 1 2/c 1'
_space_group_IT_number 15
loop_
_space_group_symop_operation_xyz
'x,y,z'
'-x,-y,-z'
'-x,y,-z+1/2'
'x,-y,z+1/2'
'x+1/2,y+1/2,z'
'-x+1/2,-y+1/2,-z'
'-x+1/2,y+1/2,-z+1/2'
'x+1/2,-y+1/2,z+1/2'
loop_
_atom_site_label
_atom_site_fract_x
_atom_site_fract_y
_atom_site_fract_z
_atom_site_occupancy
Be1 0.2500 0.0356 0.0669 1
P1 0.0000 0.3858 0.7500 1
P2 0.1798 0.1888 0.7466 1
N1 0.0000 0.1885 0.2500 1
O1 0.0486 0.2723 0.6544 1
O2 0.1052 0.4748 0.8768 1
O3 0.1739 0.0753 0.8703 1
O4 0.1969 0.1156 0.6100 1
O5 0.2285 0.1843 0.1608 1
```


Theoretical powder X-ray diffraction pattern of Na7Cu7O13 for λ = 1.5418 Å (Cu Kα), from a DFT-relaxed cell (GGA-PBE, the Materials Project).
No peak broadening, texture or thermal motion is included.

Principal peaks in the range 2θ from 10° to 90°, in order of rising 2θ:
two_theta	d [Å]	I_rel	hkl
16.91	5.243	87	1 -1 0
27.18	3.281	60	1 1 1
32.04	2.793	100	0 2 1
32.32	2.770	47	2 0 1
34.20	2.622	26	2 -2 0
36.07	2.490	56	1 2 -2
43.89	2.063	82	3 0 -2
54.11	1.695	28	1 0 4
56.61	1.626	39	1 -4 2
59.74	1.548	22	1 4 -1

```
data_Na7Cu7O13
_chemical_formula_sum 'Na7 Cu7 O13'
_cell_length_a 6.7600
_cell_length_b 6.8065
_cell_length_c 7.6900
_cell_angle_alpha 99.26
_cell_angle_beta 99.72
_cell_angle_gamma 101.25
_space_group_name_H-M_alt 'P 1'
_space_group_IT_number 1
loop_
_space_group_symop_operation_xyz
'x,y,z'
loop_
_atom_site_label
_atom_site_fract_x
_atom_site_fract_y
_atom_site_fract_z
_atom_site_occupancy
Na1 0.0000 0.0000 0.0000 1
Na2 0.1279 0.1386 0.7143 1
Na3 0.2675 0.2813 0.4282 1
Na4 0.4125 0.4244 0.1471 1
Na5 0.5507 0.5460 0.8491 1
Na6 0.6978 0.7105 0.5749 1
Na7 0.8448 0.8491 0.3003 1
Cu1 0.1289 0.6410 0.7194 1
Cu2 0.2734 0.7833 0.4307 1
Cu3 0.4098 0.9265 0.1435 1
Cu4 0.5524 0.0668 0.8590 1
Cu5 0.6977 0.2055 0.5741 1
Cu6 0.8396 0.3528 0.2872 1
Cu7 0.9840 0.4978 0.0034 1
O1 0.0535 0.7880 0.5481 1
O2 0.0569 0.3418 0.1700 1
O3 0.1834 0.9303 0.2650 1
O4 0.2051 0.4905 0.8898 1
O5 0.3435 0.0707 0.9748 1
O6 0.3487 0.6334 0.6041 1
O7 0.4756 0.2191 0.6791 1
O8 0.4936 0.7749 0.3135 1
O9 0.6234 0.3598 0.4042 1
O10 0.7640 0.5084 0.1177 1
O11 0.7779 0.0574 0.7486 1
O12 0.9078 0.6513 0.8358 1
O13 0.9155 0.1992 0.4552 1
```


Theoretical powder X-ray diffraction pattern of Zr2Si7Ni3 for λ = 1.5418 Å (Cu Kα), from a DFT-relaxed cell (GGA-PBE, the Materials Project).
No peak broadening, texture or thermal motion is included.

Principal peaks in the range 2θ from 10° to 90°, in order of rising 2θ:
two_theta	d [Å]	I_rel	hkl
25.50	3.493	20	1 0 3
35.43	2.533	48	1 0 7
35.95	2.498	100	1 1 4
40.04	2.252	30	1 1 6
41.88	2.157	12	1 0 9
46.43	1.956	54	2 0 0
48.94	1.861	15	1 0 11
59.73	1.548	20	2 1 7
67.76	1.383	17	2 2 0
79.16	1.210	18	3 1 4

```
data_Zr2Si7Ni3
_chemical_formula_sum 'Zr4 Si14 Ni6'
_cell_length_a 3.9116
_cell_length_b 3.9116
_cell_length_c 23.2748
_cell_angle_alpha 90.00
_cell_angle_beta 90.00
_cell_angle_gamma 90.00
_space_group_name_H-M_alt 'I 4 m m'
_space_group_IT_number 107
_space_group_name_Hall 'I 4 -2'
loop_
_atom_site_label
_atom_site_fract_x
_atom_site_fract_y
_atom_site_fract_z
_atom_site_occupancy
Zr1 0.0000 0.0000 0.0000 1
Zr2 0.0000 0.0000 0.2921 1
Si1 0.0000 0.0000 0.4371 1
Si2 0.0000 0.0000 0.5360 1
Si3 0.0000 0.0000 0.8376 1
Si4 0.0000 0.5000 0.0937 1
Si5 0.0000 0.5000 0.1956 1
Ni1 0.0000 0.0000 0.7407 1
Ni2 0.0000 0.5000 0.3901 1
```


Theoretical powder X-ray diffraction pattern of Ti4H5 for λ = 1.5418 Å (Cu Kα), from a DFT-relaxed cell (GGA-PBE, the Materials Project).
No peak broadening, texture or thermal motion is included.

Principal peaks in the range 2θ from 10° to 90°, in order of rising 2θ:
two_theta	d [Å]	I_rel	hkl
35.85	2.505	100	1 1 1
39.12	2.302	18	0 0 2
42.84	2.111	27	2 0 0
59.40	1.556	21	2 0 2
62.20	1.493	9	2 2 0
68.77	1.365	12	1 1 3
73.92	1.282	19	3 1 1
75.98	1.252	9	2 2 2
84.08	1.151	2	0 0 4

```
data_Ti4H5
_chemical_formula_sum 'Ti4 H5'
_cell_length_a 4.2215
_cell_length_b 4.2215
_cell_length_c 4.6048
_cell_angle_alpha 90.00
_cell_angle_beta 90.00
_cell_angle_gamma 90.00
_space_group_name_H-M_alt 'P -4 2 m'
_space_group_IT_number 111
loop_
_space_group_symop_operation_xyz
'x,y,z'
'y,-x,-z'
'-x,-y,z'
'-y,x,-z'
'x,-y,-z'
'y,x,z'
'-x,y,-z'
'-y,-x,z'
loop_
_atom_site_label
_atom_site_fract_x
_atom_site_fract_y
_atom_site_fract_z
_atom_site_occupancy
Ti1 0.2436 0.2436 0.2459 1
H1 0.0000 0.5000 0.0000 1
H2 0.0000 0.5000 0.5000 1
H3 0.5000 0.5000 0.5000 1
```


Theoretical powder X-ray diffraction pattern of Ce4S4Cl2O for λ = 1.5418 Å (Cu Kα), from a DFT-relaxed cell (GGA-PBE, the Materials Project).
No peak broadening, texture or thermal motion is included.

Principal peaks in the range 2θ from 10° to 90°, in order of rising 2θ:
two_theta	d [Å]	I_rel	hkl
22.41	3.967	28	2 2 0
25.53	3.489	46	0 0 2
25.65	3.473	45	0 4 1
25.83	3.449	100	2 2 1
34.23	2.620	46	2 2 2
36.02	2.493	29	0 6 1
36.33	2.473	29	3 3 1
39.09	2.305	32	2 6 0
39.48	2.282	38	4 0 0
45.19	2.007	33	2 2 3

```
data_Ce4S4Cl2O
_chemical_formula_sum 'Ce16 S16 Cl8 O4'
_cell_length_a 9.1341
_cell_length_b 16.0165
_cell_length_c 6.9779
_cell_angle_alpha 90.00
_cell_angle_beta 90.00
_cell_angle_gamma 90.00
_space_group_name_H-M_alt 'C m c 21'
_space_group_IT_number 36
loop_
_space_group_symop_operation_xyz
'x,y,z'
'-x,-y,z+1/2'
'-x,y,z'
'x,-y,z+1/2'
'x+1/2,y+1/2,z'
'-x+1/2,-y+1/2,z+1/2'
'-x+1/2,y+1/2,z'
'x+1/2,-y+1/2,z+1/2'
loop_
_atom_site_label
_atom_site_fract_x
_atom_site_fract_y
_atom_site_fract_z
_atom_site_occupancy
Ce1 0.0000 0.1760 0.0000 1
Ce2 0.0000 0.3032 0.4492 1
Ce3 0.2094 0.1023 0.4686 1
S1 0.0000 0.0358 0.7437 1
S2 0.0000 0.3656 0.0737 1
S3 0.2056 0.2380 0.7386 1
Cl1 0.1974 0.4346 0.5731 1
O1 0.0000 0.1664 0.3471 1
```


Theoretical powder X-ray diffraction pattern of YErAg2 for λ = 1.5418 Å (Cu Kα), from a DFT-relaxed cell (GGA-PBE, the Materials Project).
No peak broadening, texture or thermal motion is included.

Principal peaks in the range 2θ from 10° to 90°, in order of rising 2θ:
two_theta	d [Å]	I_rel	hkl
21.16	4.199	5	1 1 1
34.90	2.571	100	2 2 0
41.17	2.193	3	3 1 1
50.18	1.818	17	4 0 0
55.04	1.668	1	3 3 1
62.57	1.484	35	4 2 2
66.85	1.400	1	5 1 1
73.69	1.286	11	4 4 0
77.68	1.229	1	5 3 1
84.20	1.150	15	6 2 0

```
data_YErAg2
_chemical_formula_sum 'Y4 Er4 Ag8'
_cell_length_a 7.2724
_cell_length_b 7.2724
_cell_length_c 7.2724
_cell_angle_alpha 90.00
_cell_angle_beta 90.00
_cell_angle_gamma 90.00
_space_group_name_H-M_alt 'F m -3 m'
_space_group_IT_number 225
_space_group_name_Hall '-F 4 2 3'
loop_
_atom_site_label
_atom_site_fract_x
_atom_site_fract_y
_atom_site_fract_z
_atom_site_occupancy
Y1 0.0000 0.0000 0.0000 1
Er1 0.0000 0.0000 0.5000 1
Ag1 0.2500 0.2500 0.2500 1
```


Theoretical powder X-ray diffraction pattern of TbSi2Ru2 for λ = 1.5418 Å (Cu Kα), from a DFT-relaxed cell (GGA-PBE, the Materials Project).
No peak broadening, texture or thermal motion is included.

Principal peaks in the range 2θ from 10° to 90°, in order of rising 2θ:
two_theta	d [Å]	I_rel	hkl
23.18	3.838	32	1 0 1
35.32	2.541	33	1 0 3
35.64	2.519	100	1 1 2
37.51	2.398	16	0 0 4
43.21	2.094	40	2 0 0
56.99	1.616	16	2 1 3
58.53	1.577	17	2 0 4
62.76	1.480	13	2 2 0
66.47	1.407	18	1 1 6
74.31	1.276	23	3 1 2

```
data_TbSi2Ru2
_chemical_formula_sum 'Tb2 Si4 Ru4'
_cell_length_a 4.1874
_cell_length_b 4.1874
_cell_length_c 9.5915
_cell_angle_alpha 90.00
_cell_angle_beta 90.00
_cell_angle_gamma 90.00
_space_group_name_H-M_alt 'I 4/m m m'
_space_group_IT_number 139
_space_group_name_Hall '-I 4 2'
loop_
_atom_site_label
_atom_site_fract_x
_atom_site_fract_y
_atom_site_fract_z
_atom_site_occupancy
Tb1 0.0000 0.0000 0.0000 1
Si1 0.0000 0.0000 0.3679 1
Ru1 0.0000 0.5000 0.2500 1
```


Theoretical powder X-ray diffraction pattern of MgZn for λ = 1.5418 Å (Cu Kα), from a DFT-relaxed cell (GGA-PBE, the Materials Project).
No peak broadening, texture or thermal motion is included.

Principal peaks in the range 2θ from 10° to 90°, in order of rising 2θ:
two_theta	d [Å]	I_rel	hkl
20.14	4.410	30	0 0 3
33.38	2.684	26	1 0 1
35.45	2.532	100	0 1 2
40.93	2.205	22	0 0 6
42.85	2.110	58	1 0 4
58.30	1.583	22	1 1 0
65.98	1.416	15	0 1 8
70.12	1.342	12	2 0 2
73.69	1.286	21	1 1 6
75.02	1.266	10	0 2 4

```
data_MgZn
_chemical_formula_sum 'Mg3 Zn3'
_cell_length_a 3.1652
_cell_length_b 3.1652
_cell_length_c 13.2289
_cell_angle_alpha 90.00
_cell_angle_beta 90.00
_cell_angle_gamma 120.00
_space_group_name_H-M_alt 'R -3 m'
_space_group_IT_number 166
_space_group_name_Hall '-R 3 2"'
loop_
_atom_site_label
_atom_site_fract_x
_atom_site_fract_y
_atom_site_fract_z
_atom_site_occupancy
Mg1 0.0000 0.0000 0.0000 1
Zn1 0.0000 0.0000 0.5000 1
```


Theoretical powder X-ray diffraction pattern of V3Sb for λ = 1.5418 Å (Cu Kα), from a DFT-relaxed cell (GGA-PBE, the Materials Project).
No peak broadening, texture or thermal motion is included.

Principal peaks in the range 2θ from 10° to 90°, in order of rising 2θ:
two_theta	d [Å]	I_rel	hkl
25.53	3.490	39	1 1 0
36.41	2.467	46	2 0 0
40.89	2.207	45	2 1 0
45.00	2.015	100	2 1 1
52.44	1.745	6	2 2 0
59.21	1.561	8	3 1 0
68.56	1.369	8	3 2 0
71.54	1.319	48	3 2 1
77.34	1.234	11	4 0 0
88.63	1.103	14	4 2 0

```
data_V3Sb
_chemical_formula_sum 'V6 Sb2'
_cell_length_a 4.9350
_cell_length_b 4.9350
_cell_length_c 4.9350
_cell_angle_alpha 90.00
_cell_angle_beta 90.00
_cell_angle_gamma 90.00
_space_group_name_H-M_alt 'P m -3 n'
_space_group_IT_number 223
_space_group_name_Hall '-P 4n 2 3'
loop_
_atom_site_label
_atom_site_fract_x
_atom_site_fract_y
_atom_site_fract_z
_atom_site_occupancy
V1 0.0000 0.2500 0.5000 1
Sb1 0.0000 0.0000 0.0000 1
```